Simulated XRD peak list
Compound: LaO3
Radiation: a wavelength of 1.5418 Å
Structure: a GGA-PBE-relaxed structure
Kinematic intensities with the Lorentz-polarization factor, no thermal factor.

Crystal structure
a b c (Å): 4.6613 4.8800 7.5972
angles (deg): 107.76 91.51 116.69
Space group P-1 (No. 2)
Asymmetric unit:
La1 0.1196 0.4818 0.2371 x2
O1 0.1503 0.7752 0.4582 x2
O2 0.2089 0.3081 0.8918 x2
O3 0.4041 0.6526 0.8449 x2

Principal peaks in the range 10° ≤ 2θ ≤ 90°, sorted by position:
21.78°, I = 100; 22.20°, I = 22; 22.93°, I = 13; 23.70°, I = 23; 25.08°, I = 32; 26.82°, I = 40; 27.21°, I = 20; 30.00°, I = 14; 40.99°, I = 26; 44.46°, I = 12